No. 1
The following is a theoretical powder X-ray diffraction pattern of Mn2ReO6. It was derived from a cell relaxed with GGA+U, using Cu Kα (weighted mean of Kα1 and Kα2).
Lines closer than 0.1° are merged.

Cell and atoms:
```
18
Lattice="4.673 0.000 0.000 0.000 4.673 0.000 0.000 0.000 9.357" Properties=species:S:1:pos:R:3 pbc="T T T"
Mn 0.000 0.000 1.527
Mn 0.000 0.000 7.830
Mn 2.337 2.337 3.151
Mn 2.337 2.337 6.206
Re 0.000 0.000 4.679
Re 2.337 2.337 0.000
O 0.909 0.909 3.251
O 0.909 0.909 6.106
O 0.998 0.998 0.000
O 1.339 3.334 4.679
O 1.428 3.246 1.427
O 1.428 3.246 7.930
O 3.246 1.428 1.427
O 3.246 1.428 7.930
O 3.334 1.339 4.679
O 3.675 3.675 0.000
O 3.764 3.764 3.251
O 3.764 3.764 6.106
```

Principal peaks in the range 2θ = 5–70°, by intensity:
d 3.304, 2θ 26.98, rel. 100; d 2.594, 2θ 34.57, rel. 79; d 1.736, 2θ 52.72, rel. 71; d 4.181, 2θ 21.25, rel. 63; d 1.394, 2θ 67.16, rel. 26; d 4.679, 2θ 18.97, rel. 24; d 1.652, 2θ 55.62, rel. 22; d 2.337, 2θ 38.53, rel. 22


No. 2
The following is a theoretical powder X-ray diffraction pattern of Sc2MnReO8. It was derived from a cell relaxed with GGA+U, using Cu Kα (weighted mean of Kα1 and Kα2).
Lines closer than 0.1° are merged.

Cell and atoms:
```
12
Lattice="3.270 -3.449 0.000 3.270 3.449 0.000 0.000 0.000 6.328" Properties=species:S:1:pos:R:3 pbc="T T T"
Sc 0.000 0.000 1.539
Sc 0.000 0.000 4.789
Mn 3.270 0.000 0.000
Re 3.270 0.000 3.164
O 1.366 0.000 0.000
O 1.365 0.000 3.164
O 3.270 1.293 1.782
O 3.270 1.293 4.546
O 3.270 -1.293 1.782
O 3.270 -1.293 4.546
O 5.175 0.000 0.000
O 5.175 0.000 3.164
```

Principal peaks in the range 2θ = 5–70°, by intensity:
d 2.633, 2θ 34.06, rel. 100; d 3.449, 2θ 25.83, rel. 77; d 4.746, 2θ 18.70, rel. 65; d 3.270, 2θ 27.27, rel. 62; d 3.797, 2θ 23.43, rel. 56; d 1.789, 2θ 51.05, rel. 49; d 6.328, 2θ 14.00, rel. 46; d 1.737, 2θ 52.68, rel. 41


No. 3
The following is a theoretical powder X-ray diffraction pattern of MnVReO6. It was derived from a cell relaxed with GGA+U, using Cu Kα (weighted mean of Kα1 and Kα2).
Lines closer than 0.1° are merged.

Cell and atoms:
```
18
Lattice="5.139 0.000 0.000 -2.569 4.450 0.000 0.000 0.000 9.225" Properties=species:S:1:pos:R:3 pbc="T T T"
Mn 0.000 0.000 0.000
Mn 0.000 0.000 4.612
V 0.000 2.967 2.306
V 2.569 1.483 6.918
Re 0.000 2.967 6.918
Re 2.569 1.483 2.306
O -0.891 1.626 5.867
O -1.607 2.865 7.970
O 0.891 1.626 7.970
O -0.715 4.409 5.867
O 1.854 0.041 1.255
O 0.963 1.585 3.357
O 1.607 2.865 5.867
O 0.715 4.409 7.970
O 3.285 0.041 3.357
O 1.678 2.824 1.255
O 4.176 1.585 1.255
O 3.461 2.824 3.357
```

Principal peaks in the range 2θ = 5–70°, by intensity:
d 3.203, 2θ 27.86, rel. 100; d 4.008, 2θ 22.18, rel. 76; d 1.716, 2θ 53.38, rel. 57; d 2.569, 2θ 34.92, rel. 52; d 4.612, 2θ 19.24, rel. 49; d 2.245, 2θ 40.17, rel. 44; d 2.004, 2θ 45.25, rel. 25; d 1.580, 2θ 58.40, rel. 23


No. 4
The following is a theoretical powder X-ray diffraction pattern of Mn3RhO6. It was derived from a cell relaxed with GGA+U, using Cu Kα (weighted mean of Kα1 and Kα2).
Lines closer than 0.1° are merged.

Cell and atoms:
```
20
Lattice="5.101 0.000 0.000 0.000 5.260 0.000 -5.032 0.000 8.053" Properties=species:S:1:pos:R:3 pbc="T T T"
Mn 0.000 0.000 0.000
Mn -2.516 2.630 4.026
Mn -2.566 0.312 5.780
Mn -0.051 2.318 1.753
Mn 0.120 2.942 6.300
Mn 2.636 4.947 2.273
Rh 0.035 0.000 4.026
Rh 2.551 2.630 0.000
O -1.667 0.979 3.592
O -4.183 1.651 7.619
O -0.996 3.672 3.195
O -3.512 4.217 7.221
O 0.783 0.536 2.215
O -1.733 2.094 6.241
O 1.802 3.165 1.812
O -0.713 4.724 5.838
O 3.581 1.042 0.832
O 1.066 1.587 4.858
O 4.253 3.608 0.434
O 1.737 4.281 4.461
```

Principal peaks in the range 2θ = 5–70°, by intensity:
d 2.717, 2θ 32.96, rel. 100; d 2.701, 2θ 33.17, rel. 89; d 4.404, 2θ 20.16, rel. 37; d 1.831, 2θ 49.80, rel. 37; d 2.550, 2θ 35.19, rel. 34; d 2.630, 2θ 34.09, rel. 32; d 1.497, 2θ 61.99, rel. 22; d 2.013, 2θ 45.03, rel. 20


No. 5
The following is a theoretical powder X-ray diffraction pattern of MnTcRhO6. It was derived from a cell relaxed with GGA+U, using Cu Kα (weighted mean of Kα1 and Kα2).
Lines closer than 0.1° are merged.

Cell and atoms:
```
18
Lattice="5.096 0.000 0.000 -2.548 4.413 0.000 0.000 0.000 9.269" Properties=species:S:1:pos:R:3 pbc="T T T"
Mn 0.000 0.000 0.000
Mn 0.000 0.000 4.635
Tc 0.000 2.942 2.317
Tc 2.548 1.471 6.952
Rh 0.000 2.942 6.952
Rh 2.548 1.471 2.317
O -0.849 1.592 1.228
O -1.594 2.882 3.406
O 0.849 1.592 3.406
O -0.745 4.352 1.228
O 1.803 0.061 5.863
O 0.954 1.531 8.041
O 1.594 2.882 1.228
O 0.745 4.352 3.406
O 3.293 0.061 8.041
O 1.699 2.821 5.863
O 4.142 1.531 5.863
O 3.397 2.821 8.041
```

Principal peaks in the range 2θ = 5–70°, by intensity:
d 3.196, 2θ 27.92, rel. 100; d 1.714, 2θ 53.45, rel. 56; d 2.548, 2θ 35.22, rel. 47; d 4.635, 2θ 19.15, rel. 42; d 2.233, 2θ 40.40, rel. 39; d 1.992, 2θ 45.53, rel. 25; d 1.569, 2θ 58.84, rel. 23; d 1.471, 2θ 63.21, rel. 20


No. 6
The following is a theoretical powder X-ray diffraction pattern of UMn2RhO8. It was derived from a cell relaxed with GGA+U, using Cu Kα (weighted mean of Kα1 and Kα2).
Lines closer than 0.1° are merged.

Cell and atoms:
```
12
Lattice="3.323 -3.579 0.000 3.323 3.579 0.000 0.000 0.000 6.146" Properties=species:S:1:pos:R:3 pbc="T T T"
U 0.000 0.000 0.000
Mn 3.323 0.000 1.576
Mn 3.323 0.000 4.570
Rh 0.000 0.000 3.073
O 3.323 2.221 1.556
O 3.323 2.221 4.589
O 2.000 0.000 3.073
O 2.111 0.000 0.000
O 4.535 0.000 0.000
O 4.647 0.000 3.073
O 3.323 -2.221 1.556
O 3.323 -2.221 4.589
```

Principal peaks in the range 2θ = 5–70°, by intensity:
d 2.599, 2θ 34.51, rel. 100; d 3.579, 2θ 24.88, rel. 80; d 4.870, 2θ 18.21, rel. 71; d 3.323, 2θ 26.83, rel. 66; d 1.813, 2θ 50.33, rel. 49; d 1.743, 2θ 52.50, rel. 45; d 2.435, 2θ 36.91, rel. 32; d 1.435, 2θ 64.97, rel. 29


No. 7
The following is a theoretical powder X-ray diffraction pattern of MnZnRhO4. It was derived from a cell relaxed with GGA+U, using Cu Kα (weighted mean of Kα1 and Kα2).
Lines closer than 0.1° are merged.

Cell and atoms:
```
14
Lattice="-2.977 3.058 4.211 2.977 -3.058 4.211 2.977 3.058 -4.211" Properties=species:S:1:pos:R:3 pbc="T T T"
Mn -1.488 1.529 2.106
Mn 1.488 1.529 2.106
Zn 2.977 1.529 -1.097
Zn 0.000 1.529 5.308
Rh 0.000 0.000 0.000
Rh 0.000 3.058 0.000
O 1.380 1.529 0.122
O 1.597 -1.529 4.333
O 0.000 0.180 2.073
O 2.977 0.180 2.138
O 0.000 2.878 2.073
O 2.977 2.878 2.138
O 1.380 4.587 -0.122
O 1.597 1.529 4.089
```

Principal peaks in the range 2θ = 5–70°, by intensity:
d 2.588, 2θ 34.65, rel. 100; d 2.551, 2θ 35.18, rel. 67; d 1.498, 2θ 61.93, rel. 60; d 2.539, 2θ 35.35, rel. 54; d 4.861, 2θ 18.25, rel. 43; d 2.997, 2θ 29.81, rel. 34; d 1.633, 2θ 56.34, rel. 28; d 2.133, 2θ 42.38, rel. 28


No. 8
The following is a theoretical powder X-ray diffraction pattern of MnRu2O6. It was derived from a cell relaxed with GGA+U, using Cu Kα (weighted mean of Kα1 and Kα2).
Lines closer than 0.1° are merged.

Cell and atoms:
```
27
Lattice="8.646 0.000 0.000 -4.323 7.488 0.000 0.000 0.000 4.373" Properties=species:S:1:pos:R:3 pbc="T T T"
Mn 0.000 0.000 0.000
Mn 0.000 4.992 2.168
Mn 4.323 2.496 2.204
Ru -1.496 2.591 0.000
Ru -2.940 5.092 2.186
Ru 1.383 2.396 2.186
Ru 2.991 0.000 0.000
Ru 2.827 4.897 0.000
Ru 5.879 0.000 2.186
O -0.035 1.667 1.044
O -1.515 4.235 1.096
O -2.862 6.684 1.044
O -0.066 3.294 3.236
O 1.461 0.804 3.329
O -1.437 5.898 3.236
O 1.413 4.058 1.096
O 2.886 1.590 1.136
O 0.102 6.682 1.096
O 2.808 3.253 3.276
O 1.503 5.783 3.236
O 4.425 0.805 3.276
O 4.257 4.194 1.136
O 2.897 6.624 1.044
O 5.826 1.704 1.136
O 4.288 5.821 3.329
O 5.736 3.429 3.276
O 7.220 0.864 3.329
```

Principal peaks in the range 2θ = 5–70°, by intensity:
d 3.074, 2θ 29.05, rel. 100; d 1.645, 2θ 55.91, rel. 42; d 2.496, 2θ 35.98, rel. 38; d 1.938, 2θ 46.89, rel. 25; d 1.531, 2θ 60.49, rel. 22; d 1.441, 2θ 64.69, rel. 16; d 4.323, 2θ 20.54, rel. 8; d 1.381, 2θ 67.86, rel. 8


No. 9
The following is a theoretical powder X-ray diffraction pattern of Sr4MnRuO8. It was derived from a cell relaxed with GGA+U, using Cu Kα (weighted mean of Kα1 and Kα2).
Lines closer than 0.1° are merged.

Cell and atoms:
```
14
Lattice="3.892 0.000 0.000 0.000 3.892 0.000 0.000 0.000 12.762" Properties=species:S:1:pos:R:3 pbc="T T T"
Sr 0.000 0.000 1.757
Sr 0.000 0.000 11.006
Sr 1.946 1.946 4.408
Sr 1.946 1.946 8.354
Mn 1.946 1.946 0.000
Ru 0.000 0.000 6.381
O 0.000 0.000 4.309
O 0.000 0.000 8.453
O 0.000 1.946 0.000
O 0.000 1.946 6.381
O 1.946 0.000 0.000
O 1.946 0.000 6.381
O 1.946 1.946 2.010
O 1.946 1.946 10.752
```

Principal peaks in the range 2θ = 5–70°, by intensity:
d 2.871, 2θ 31.15, rel. 100; d 2.752, 2θ 32.54, rel. 68; d 1.946, 2θ 46.68, rel. 37; d 1.611, 2θ 57.19, rel. 36; d 1.683, 2θ 54.53, rel. 18; d 1.436, 2θ 64.95, rel. 17; d 2.127, 2θ 42.50, rel. 17; d 2.084, 2θ 43.43, rel. 13


No. 10
The following is a theoretical powder X-ray diffraction pattern of Sr4MnRuO8. It was derived from a cell relaxed with GGA+U, using Cu Kα (weighted mean of Kα1 and Kα2).
Lines closer than 0.1° are merged.

Cell and atoms:
```
14
Lattice="2.826 -6.236 0.000 2.826 6.236 0.000 0.000 0.000 5.652" Properties=species:S:1:pos:R:3 pbc="T T T"
Sr 2.826 4.465 0.000
Sr 2.826 1.800 2.826
Sr 2.826 -1.800 2.826
Sr 2.826 -4.465 0.000
Mn 0.000 0.000 2.826
Ru 2.826 0.000 0.000
O 2.826 4.272 2.826
O 1.440 0.000 1.387
O 1.440 0.000 4.265
O 2.826 2.016 0.000
O 2.826 -2.016 0.000
O 4.213 0.000 1.387
O 4.213 0.000 4.265
O 2.826 -4.272 2.826
```

Principal peaks in the range 2θ = 5–70°, by intensity:
d 2.881, 2θ 31.04, rel. 100; d 2.826, 2θ 31.66, rel. 74; d 1.998, 2θ 45.38, rel. 41; d 1.642, 2θ 56.00, rel. 38; d 1.674, 2θ 54.83, rel. 17; d 1.441, 2θ 64.71, rel. 16; d 2.094, 2θ 43.20, rel. 16; d 2.116, 2θ 42.73, rel. 15


No. 11
The following is a theoretical powder X-ray diffraction pattern of Sr3MnRuO7. It was derived from a cell relaxed with GGA+U, using Cu Kα (weighted mean of Kα1 and Kα2).
Lines closer than 0.1° are merged.

Cell and atoms:
```
12
Lattice="-1.980 1.980 10.219 1.980 -1.980 10.219 1.980 1.980 -10.219" Properties=species:S:1:pos:R:3 pbc="T T T"
Sr 0.000 0.000 0.000
Sr 0.000 0.000 3.550
Sr 0.000 0.000 7.502
Mn 0.000 0.000 11.868
Ru 0.000 0.000 15.900
O 1.980 0.000 1.740
O 1.980 0.000 5.714
O 0.000 0.000 9.940
O 0.000 1.980 1.740
O 0.000 0.000 13.932
O 0.000 1.980 5.714
O 0.000 0.000 17.914
```

Principal peaks in the range 2θ = 5–70°, by intensity:
d 2.844, 2θ 31.46, rel. 100; d 2.800, 2θ 31.97, rel. 66; d 1.980, 2θ 45.84, rel. 40; d 1.625, 2θ 56.65, rel. 38; d 1.422, 2θ 65.66, rel. 16; d 1.651, 2θ 55.68, rel. 16; d 2.044, 2θ 44.32, rel. 15; d 2.163, 2θ 41.76, rel. 12